The following is a simulated PXRD pattern of PrSm10Ho4. It was derived from a structure optimized by DFT (GGA-PBE), using Cu Kα, 1.54184 Å.
Lines closer than 0.1° are merged.

Crystal structure
Unit cell a=8.8580 b=8.8580 c=8.8580 alpha=111.91 beta=111.91 gamma=104.70
Positions (direct):
Pr: 0.0000 0.0000 0.0000
Sm: 0.0519 0.9468 0.6572
Sm: 0.0532 0.7105 0.1052
Sm: 0.2500 0.7500 0.5000
Sm: 0.2895 0.3947 0.3428
Sm: 0.3947 0.0519 0.1052
Sm: 0.6053 0.9481 0.8948
Sm: 0.7105 0.6053 0.6572
Sm: 0.7500 0.2500 0.5000
Sm: 0.9468 0.2895 0.8948
Sm: 0.9481 0.0532 0.3428
Ho: 0.2199 0.5570 0.7769
Ho: 0.4430 0.2199 0.6629
Ho: 0.5570 0.7801 0.3371
Ho: 0.7801 0.4430 0.2231

Peak list (12 most intense, 5° ≤ 2θ ≤ 70°, sorted by position)
d_spacing, 2theta, I/Imax
4.104, 21.65, 16
3.390, 26.29, 26
3.162, 28.22, 14
3.137, 28.46, 81
2.943, 30.37, 14
2.799, 31.98, 100
2.714, 33.01, 38
2.218, 40.68, 28
2.187, 41.27, 23
1.829, 49.85, 14
1.563, 59.09, 21
1.358, 69.20, 16



The following is a simulated PXRD pattern of PrSm12Ho7. It was derived from a structure optimized by DFT (GGA-PBE), using Cu Kα, 1.54184 Å.
Lines closer than 0.1° are merged.

Crystal structure
Unit cell a=8.8187 b=8.8187 c=8.8187 alpha=98.22 beta=98.22 gamma=98.22
Positions (direct):
Pr: 0.0000 0.0000 0.0000
Sm: 0.0909 0.3589 0.3589
Sm: 0.2379 0.5000 0.7621
Sm: 0.2379 0.7621 0.5000
Sm: 0.3589 0.0909 0.3589
Sm: 0.3589 0.3589 0.0909
Sm: 0.5000 0.2379 0.7621
Sm: 0.5000 0.7621 0.2379
Sm: 0.6411 0.6411 0.9091
Sm: 0.6411 0.9091 0.6411
Sm: 0.7621 0.2379 0.5000
Sm: 0.7621 0.5000 0.2379
Sm: 0.9091 0.6411 0.6411
Ho: 0.0979 0.0979 0.6589
Ho: 0.0979 0.6589 0.0979
Ho: 0.3411 0.9021 0.9021
Ho: 0.5000 0.5000 0.5000
Ho: 0.6589 0.0979 0.0979
Ho: 0.9021 0.3411 0.9021
Ho: 0.9021 0.9021 0.3411

Peak list (12 most intense, 5° ≤ 2θ ≤ 70°, sorted by position)
d_spacing, 2theta, I/Imax
3.108, 28.73, 46
2.869, 31.18, 100
2.817, 31.76, 76
2.635, 34.02, 37
2.595, 34.56, 13
1.878, 48.48, 28
1.699, 53.98, 9
1.667, 55.10, 18
1.636, 56.22, 31
1.598, 57.68, 21
1.529, 60.54, 12
1.408, 66.37, 14



The following is a simulated PXRD pattern of Pr2Sm7Ho. It was derived from a structure optimized by DFT (GGA-PBE), using Cu Kα, 1.54184 Å.
Lines closer than 0.1° are merged.

Crystal structure
Unit cell a=6.2949 b=7.2647 c=8.1334 alpha=77.27 beta=74.98 gamma=73.27
Positions (direct):
Pr: 0.2012 0.3000 0.1015
Pr: 0.7988 0.7000 0.8985
Sm: 0.0000 0.0000 0.5000
Sm: 0.1996 0.7996 0.1014
Sm: 0.3982 0.1012 0.6980
Sm: 0.3997 0.6002 0.6978
Sm: 0.6003 0.3998 0.3022
Sm: 0.6018 0.8988 0.3020
Sm: 0.8004 0.2004 0.8986
Ho: 0.0000 0.5000 0.5000

Peak list (11 most intense, 5° ≤ 2θ ≤ 70°, sorted by position)
d_spacing, 2theta, I/Imax
2.968, 30.11, 100
2.571, 34.90, 51
1.819, 50.14, 18
1.816, 50.24, 18
1.554, 59.49, 4
1.551, 59.61, 18
1.549, 59.69, 18
1.547, 59.76, 4
1.486, 62.49, 3
1.484, 62.59, 6
1.482, 62.69, 3



The following is a simulated PXRD pattern of Pr3Sm2Ho4. It was derived from a structure optimized by DFT (GGA-PBE), using Cu Kα, 1.54184 Å.
Lines closer than 0.1° are merged.

Crystal structure
Unit cell a=10.1401 b=10.1401 c=6.1838 alpha=96.06 beta=96.06 gamma=71.33
Positions (direct):
Pr: 0.1315 0.8685 0.7500
Pr: 0.1948 0.4784 0.9106
Pr: 0.4784 0.1948 0.4106
Pr: 0.5216 0.8052 0.5894
Pr: 0.8052 0.5216 0.0894
Pr: 0.8685 0.1315 0.2500
Sm: 0.0157 0.7616 0.2098
Sm: 0.2384 0.9843 0.2902
Sm: 0.7616 0.0157 0.7098
Sm: 0.9843 0.2384 0.7902
Ho: 0.1119 0.3469 0.3642
Ho: 0.3257 0.5593 0.4614
Ho: 0.3469 0.1119 0.8642
Ho: 0.4407 0.6743 0.0386
Ho: 0.5593 0.3257 0.9614
Ho: 0.6531 0.8881 0.1358
Ho: 0.6743 0.4407 0.5386
Ho: 0.8881 0.6531 0.6358

Peak list (12 most intense, 5° ≤ 2θ ≤ 70°, sorted by position)
d_spacing, 2theta, I/Imax
2.987, 29.92, 52
2.956, 30.24, 100
2.822, 31.70, 89
2.430, 36.99, 30
2.413, 37.26, 27
1.877, 48.49, 12
1.870, 48.71, 13
1.815, 50.27, 12
1.794, 50.89, 11
1.680, 54.64, 17
1.675, 54.79, 18
1.478, 62.88, 10



The following is a simulated PXRD pattern of Pr3SmHo2. It was derived from a structure optimized by DFT (GGA-PBE), using Cu Kα, 1.54184 Å.
Lines closer than 0.1° are merged.

Crystal structure
Unit cell a=6.9171 b=6.9171 c=17.8982 alpha=101.96 beta=101.96 gamma=29.90
Positions (direct):
Pr: 0.0673 0.0673 0.1661
Pr: 0.2712 0.2712 0.6636
Pr: 0.3727 0.3727 0.0096
Pr: 0.6273 0.6273 0.9904
Pr: 0.7288 0.7288 0.3364
Pr: 0.9327 0.9327 0.8339
Sm: 0.4570 0.4570 0.3195
Sm: 0.5430 0.5430 0.6805
Ho: 0.1971 0.1971 0.8346
Ho: 0.3657 0.3657 0.4972
Ho: 0.6343 0.6343 0.5028
Ho: 0.8029 0.8029 0.1654

Peak list (12 most intense, 5° ≤ 2θ ≤ 70°, sorted by position)
d_spacing, 2theta, I/Imax
3.342, 26.68, 41
3.040, 29.38, 32
2.934, 30.47, 94
2.914, 30.69, 100
2.893, 30.91, 29
2.863, 31.24, 88
2.784, 32.16, 42
2.670, 33.56, 47
2.525, 35.55, 38
1.524, 60.76, 35
1.522, 60.88, 29
1.514, 61.21, 26



The following is a simulated PXRD pattern of Pr4Sm2Ho3. It was derived from a structure optimized by DFT (GGA-PBE), using Cu Kα, 1.54184 Å.
Lines closer than 0.1° are merged.

Crystal structure
Unit cell a=3.6382 b=3.6382 c=27.0778 alpha=90.00 beta=90.00 gamma=120.00
Positions (direct):
Pr: 0.0000 0.0000 0.0000
Pr: 0.0000 0.0000 0.2137
Pr: 0.3333 0.6667 0.3300
Pr: 0.3333 0.6667 0.5457
Sm: 0.0000 0.0000 0.6584
Sm: 0.0000 0.0000 0.8677
Ho: 0.0000 0.0000 0.4375
Ho: 0.3333 0.6667 0.1054
Ho: 0.3333 0.6667 0.7645

Peak list (12 most intense, 5° ≤ 2θ ≤ 70°, sorted by position)
d_spacing, 2theta, I/Imax
3.151, 28.33, 47
3.009, 29.69, 48
2.975, 30.04, 10
2.857, 31.31, 65
2.723, 32.89, 100
2.583, 34.72, 12
2.176, 41.50, 30
1.819, 50.15, 38
1.648, 55.77, 31
1.557, 59.37, 41
1.534, 60.32, 10
1.513, 61.28, 17



The following is a simulated PXRD pattern of Pr3Sm7Ho. It was derived from a structure optimized by DFT (GGA-PBE), using Cu Kα, 1.54184 Å.
Lines closer than 0.1° are merged.

Crystal structure
Unit cell a=7.8136 b=7.8136 c=6.4979 alpha=93.41 beta=93.41 gamma=81.95
Positions (direct):
Pr: 0.0000 0.0000 0.0000
Pr: 0.1736 0.8264 0.5000
Pr: 0.8264 0.1736 0.5000
Sm: 0.0877 0.4293 0.2381
Sm: 0.2408 0.2408 0.7141
Sm: 0.4293 0.0877 0.2381
Sm: 0.5000 0.5000 0.5000
Sm: 0.5707 0.9123 0.7619
Sm: 0.7592 0.7592 0.2859
Sm: 0.9123 0.5707 0.7619
Ho: 0.5000 0.5000 0.0000

Peak list (12 most intense, 5° ≤ 2θ ≤ 70°, sorted by position)
d_spacing, 2theta, I/Imax
2.938, 30.42, 100
2.901, 30.83, 62
2.747, 32.60, 40
2.437, 36.88, 38
1.823, 50.03, 30
1.739, 52.63, 10
1.708, 53.68, 13
1.619, 56.88, 11
1.492, 62.25, 16
1.477, 62.94, 25
1.469, 63.29, 11
1.450, 64.22, 11



The following is a simulated PXRD pattern of Tb2Pr4SmHo2. It was derived from a structure optimized by DFT (GGA-PBE), using Cu Kα, 1.54184 Å.
Lines closer than 0.1° are merged.

Crystal structure
Unit cell a=8.1236 b=8.1236 c=8.1010 alpha=107.41 beta=107.41 gamma=36.80
Positions (direct):
Tb: 0.1115 0.1115 0.1694
Tb: 0.8885 0.8885 0.8306
Pr: 0.2230 0.2230 0.8310
Pr: 0.4461 0.4461 0.1689
Pr: 0.5539 0.5539 0.8311
Pr: 0.7770 0.7770 0.1690
Sm: 0.0000 0.0000 0.5000
Ho: 0.3320 0.3320 0.5006
Ho: 0.6680 0.6680 0.4994

Peak list (7 most intense, 5° ≤ 2θ ≤ 70°, sorted by position)
d_spacing, 2theta, I/Imax
2.962, 30.17, 100
2.565, 34.98, 51
1.815, 50.26, 18
1.813, 50.34, 18
1.549, 59.70, 14
1.546, 59.82, 29
1.481, 62.73, 12



The following is a simulated PXRD pattern of TbPr2SmHo2. It was derived from a structure optimized by DFT (GGA-PBE), using Cu Kα, 1.54184 Å.
Lines closer than 0.1° are merged.

Crystal structure
Unit cell a=5.7130 b=9.9020 c=7.0476 alpha=90.00 beta=90.00 gamma=90.00
Positions (direct):
Tb: 0.0000 0.1634 0.0000
Tb: 0.0000 0.8366 0.5000
Pr: 0.0000 0.4997 0.2507
Pr: 0.0000 0.5003 0.7507
Pr: 0.5000 0.3287 0.5010
Pr: 0.5000 0.6713 0.0010
Sm: 0.5000 0.0003 0.2502
Sm: 0.5000 0.9997 0.7502
Ho: 0.0000 0.1662 0.5002
Ho: 0.0000 0.8338 0.0002
Ho: 0.5000 0.3342 0.0008
Ho: 0.5000 0.6658 0.5008

Peak list (11 most intense, 5° ≤ 2θ ≤ 70°, sorted by position)
d_spacing, 2theta, I/Imax
3.524, 25.27, 8
2.871, 31.16, 88
2.857, 31.30, 100
2.219, 40.65, 13
2.025, 44.75, 33
1.762, 51.90, 8
1.652, 55.64, 41
1.649, 55.73, 13
1.500, 61.87, 29
1.494, 62.12, 4
1.429, 65.31, 12



The following is a simulated PXRD pattern of TbPr4Sm2Ho2. It was derived from a structure optimized by DFT (GGA-PBE), using Cu Kα, 1.54184 Å.
Lines closer than 0.1° are merged.

Crystal structure
Unit cell a=8.1475 b=8.1475 c=8.1107 alpha=107.57 beta=107.57 gamma=36.85
Positions (direct):
Tb: 0.0000 0.0000 0.0000
Pr: 0.2224 0.2224 0.3301
Pr: 0.4457 0.4457 0.6696
Pr: 0.5543 0.5543 0.3304
Pr: 0.7776 0.7776 0.6699
Sm: 0.1116 0.1116 0.6702
Sm: 0.8884 0.8884 0.3298
Ho: 0.3327 0.3327 0.0003
Ho: 0.6673 0.6673 0.9997

Peak list (8 most intense, 5° ≤ 2θ ≤ 70°, sorted by position)
d_spacing, 2theta, I/Imax
2.969, 30.10, 100
2.576, 34.83, 34
2.563, 35.01, 17
1.821, 50.08, 12
1.817, 50.21, 24
1.553, 59.54, 29
1.547, 59.78, 14
1.485, 62.56, 12



The following is a simulated PXRD pattern of Tb2Pr4Sm2Ho. It was derived from a structure optimized by DFT (GGA-PBE), using Cu Kα, 1.54184 Å.
Lines closer than 0.1° are merged.

Crystal structure
Unit cell a=8.1551 b=8.1551 c=8.1180 alpha=107.61 beta=107.61 gamma=36.88
Positions (direct):
Tb: 0.1667 0.1667 0.9997
Tb: 0.8333 0.8333 0.0003
Pr: 0.0544 0.0544 0.3306
Pr: 0.2779 0.2779 0.6695
Pr: 0.7221 0.7221 0.3305
Pr: 0.9456 0.9456 0.6694
Sm: 0.3885 0.3885 0.3296
Sm: 0.6115 0.6115 0.6704
Ho: 0.5000 0.5000 0.0000

Peak list (8 most intense, 5° ≤ 2θ ≤ 70°, sorted by position)
d_spacing, 2theta, I/Imax
2.973, 30.06, 100
2.579, 34.79, 34
2.565, 34.98, 17
1.824, 50.01, 12
1.819, 50.16, 24
1.554, 59.46, 29
1.548, 59.73, 14
1.486, 62.49, 12



The following is a simulated PXRD pattern of PrSm2HoTe5. It was derived from a structure optimized by DFT (GGA-PBE), using Cu Kα, 1.54184 Å.
Lines closer than 0.1° are merged.

Crystal structure
Unit cell a=5.5143 b=5.5143 c=11.8577 alpha=90.00 beta=90.00 gamma=90.00
Positions (direct):
Pr: 0.0000 0.0000 0.0000
Sm: 0.5000 0.5000 0.3481
Sm: 0.5000 0.5000 0.6519
Ho: 0.0000 0.0000 0.5000
Te: 0.0000 0.0000 0.2514
Te: 0.0000 0.0000 0.7486
Te: 0.0000 0.5000 0.5000
Te: 0.5000 0.0000 0.5000
Te: 0.5000 0.5000 0.0000

Peak list (12 most intense, 5° ≤ 2θ ≤ 70°, sorted by position)
d_spacing, 2theta, I/Imax
11.858, 7.46, 98
5.929, 14.94, 24
3.899, 22.81, 87
3.213, 27.77, 36
2.776, 32.25, 57
2.757, 32.47, 100
2.611, 34.35, 50
2.092, 43.24, 22
2.019, 44.90, 26
1.950, 46.59, 37
1.896, 47.99, 39
1.595, 57.79, 21



The following is a simulated PXRD pattern of Pr2SmHo2Th2. It was derived from a structure optimized by DFT (GGA-PBE), using Cu Kα, 1.54184 Å.
Lines closer than 0.1° are merged.

Crystal structure
Unit cell a=6.6103 b=6.6103 c=7.8901 alpha=108.82 beta=108.82 gamma=50.45
Positions (direct):
Pr: 0.1154 0.1154 0.3838
Pr: 0.8846 0.8846 0.6162
Sm: 0.5000 0.5000 0.0000
Ho: 0.3851 0.3851 0.3215
Ho: 0.6149 0.6149 0.6785
Th: 0.1703 0.1703 0.9132
Th: 0.8297 0.8297 0.0868

Peak list (12 most intense, 5° ≤ 2θ ≤ 70°, sorted by position)
d_spacing, 2theta, I/Imax
5.495, 16.13, 25
3.231, 27.61, 31
3.107, 28.73, 27
2.822, 31.71, 100
2.793, 32.04, 12
2.769, 32.33, 42
2.600, 34.50, 42
2.362, 38.09, 13
1.983, 45.77, 16
1.628, 56.52, 11
1.619, 56.85, 13
1.617, 56.96, 11